No. 1
The following is a computed PXRD pattern of Nd2Si2O7. It was derived from a DFT-relaxed cell (PBE, Alexandria), using copper Kα.

Principal peaks in the range 2θ from 10° to 80°, most intense first:
| two_theta | I (rel.) |
| --- | --- |
| 26.3 | 100 |
| 27.2 | 37 |
| 12.2 | 36 |
| 44.6 | 28 |
| 29.0 | 21 |
| 33.1 | 20 |
| 35.8 | 17 |
| 33.6 | 14 |
| 49.7 | 13 |
| 55.0 | 11 |

Cell lengths 5.417, 8.685, 13.078 Å; angles 90.00, 90.00, 90.00 degrees
Sites, in units of the cell vectors:
Nd1 0.011 0.053 0.232
Nd2 0.016 0.645 0.589
Nd3 0.484 0.355 0.089
Nd4 0.489 0.947 0.732
Nd5 0.511 0.447 0.768
Nd6 0.516 0.855 0.411
Nd7 0.984 0.145 0.911
Nd8 0.989 0.553 0.268
Si1 0.018 0.747 0.821
Si2 0.020 0.496 0.975
Si3 0.480 0.504 0.475
Si4 0.482 0.253 0.321
Si5 0.518 0.753 0.179
Si6 0.520 0.004 0.025
Si7 0.980 0.996 0.525
Si8 0.982 0.247 0.679
O1 0.012 0.675 0.937
O2 0.074 0.485 0.096
O3 0.092 0.929 0.825
O4 0.234 0.903 0.560
O5 0.242 0.217 0.739
O6 0.244 0.674 0.753
O7 0.249 0.395 0.924
O8 0.251 0.605 0.424
O9 0.256 0.326 0.253
O10 0.258 0.783 0.239
O11 0.266 0.097 0.060
O12 0.408 0.071 0.325
O13 0.426 0.515 0.596
O14 0.488 0.325 0.437
O15 0.512 0.825 0.063
O16 0.574 0.015 0.904
O17 0.592 0.571 0.175
O18 0.734 0.597 0.440
O19 0.742 0.283 0.261
O20 0.744 0.826 0.247
O21 0.749 0.105 0.076
O22 0.751 0.895 0.576
O23 0.756 0.174 0.747
O24 0.758 0.717 0.761
O25 0.766 0.403 0.940
O26 0.908 0.429 0.675
O27 0.926 0.985 0.404
O28 0.988 0.175 0.563

=====

No. 2
The following is a computed PXRD pattern of Na2IrPtS4. It was derived from a DFT-relaxed cell (PBE, Alexandria), using copper Kα.

Principal peaks in the range 2θ from 10° to 80°, most intense first:
| two_theta | I (rel.) |
| --- | --- |
| 14.2 | 100 |
| 34.4 | 47 |
| 32.1 | 28 |
| 28.5 | 25 |
| 29.3 | 22 |
| 47.9 | 19 |
| 26.9 | 16 |
| 47.6 | 16 |
| 44.7 | 15 |
| 28.6 | 15 |

Cell lengths 6.684, 3.637, 6.741 Å; angles 90.00, 112.15, 90.00 degrees
Sites, in units of the cell vectors:
Na1 0.000 0.000 0.000
Na2 0.500 0.500 0.000
Ir1 0.000 0.500 0.500
Pt1 0.500 0.000 0.500
S1 0.204 0.000 0.709
S2 0.262 0.500 0.333
S3 0.738 0.500 0.667
S4 0.796 0.000 0.291

=====

No. 3
The following is a computed PXRD pattern of Pd7Pb4Au. It was derived from a DFT-relaxed cell (PBE, Alexandria), using copper Kα.

Principal peaks in the range 2θ from 10° to 80°, most intense first:
| two_theta | I (rel.) |
| --- | --- |
| 34.8 | 100 |
| 39.1 | 67 |
| 30.0 | 65 |
| 34.5 | 63 |
| 49.9 | 50 |
| 41.3 | 41 |
| 51.1 | 39 |
| 42.1 | 38 |
| 36.1 | 35 |
| 25.6 | 34 |

Cell lengths 6.118, 6.118, 9.976 Å; angles 117.74, 117.74, 49.79 degrees
Sites, in units of the cell vectors:
Pd1 0.000 0.000 0.000
Pd2 0.134 0.134 0.519
Pd3 0.296 0.296 0.086
Pd4 0.422 0.422 0.680
Pd5 0.578 0.578 0.320
Pd6 0.704 0.704 0.914
Pd7 0.866 0.866 0.481
Pb1 0.094 0.094 0.780
Pb2 0.260 0.260 0.337
Pb3 0.740 0.740 0.663
Pb4 0.906 0.906 0.220
Au1 0.500 0.500 0.000

=====

No. 4
The following is a computed PXRD pattern of ErIn2Pd. It was derived from a DFT-relaxed cell (PBE, Alexandria), using copper Kα.

Principal peaks in the range 2θ from 10° to 80°, most intense first:
| two_theta | I (rel.) |
| --- | --- |
| 33.9 | 100 |
| 33.8 | 87 |
| 32.5 | 64 |
| 37.6 | 58 |
| 39.2 | 52 |
| 35.2 | 38 |
| 40.3 | 33 |
| 39.9 | 30 |
| 35.0 | 27 |
| 36.9 | 26 |

Cell lengths 10.777, 10.777, 10.777 Å; angles 100.50, 100.50, 129.47 degrees
Sites, in units of the cell vectors:
Er1 0.000 0.000 0.000
Er2 0.071 0.351 0.280
Er3 0.071 0.792 0.720
Er4 0.351 0.071 0.280
Er5 0.384 0.384 0.596
Er6 0.384 0.787 0.000
Er7 0.473 0.473 0.000
Er8 0.787 0.384 0.000
Er9 0.787 0.787 0.404
Er10 0.792 0.071 0.720
In1 0.107 0.107 0.741
In2 0.107 0.367 0.000
In3 0.193 0.684 0.207
In4 0.193 0.986 0.508
In5 0.214 0.597 0.617
In6 0.367 0.107 0.000
In7 0.367 0.367 0.259
In8 0.477 0.684 0.492
In9 0.477 0.986 0.793
In10 0.581 0.744 0.837
In11 0.597 0.214 0.617
In12 0.597 0.980 0.383
In13 0.684 0.193 0.207
In14 0.684 0.477 0.492
In15 0.744 0.581 0.837
In16 0.744 0.907 0.163
In17 0.907 0.744 0.163
In18 0.980 0.597 0.383
In19 0.986 0.193 0.508
In20 0.986 0.477 0.793
Pd1 0.091 0.091 0.322
Pd2 0.091 0.770 0.000
Pd3 0.226 0.438 0.788
Pd4 0.347 0.847 0.500
Pd5 0.438 0.226 0.788
Pd6 0.438 0.651 0.212
Pd7 0.651 0.438 0.212
Pd8 0.770 0.091 0.000
Pd9 0.770 0.770 0.678
Pd10 0.847 0.347 0.500